# Tb2Zn2Rh
Calculated PXRD pattern, Cu Kα X-rays. Input: a crystal structure in Alexandria, relaxed with GGA-PBE.
No peak broadening, texture or thermal motion is included.

Structural model:
abc: 10.419 6.072 7.025
angles: 90.00 110.51 90.00
Space group C2/c (No. 15)
Symmetry-distinct sites (fractional):
Tb (0.163, 0.089, 0.142)
Zn (0.093, 0.384, 0.455)
Rh (0.000, 0.248, 0.750)

The 8 most intense peaks (2θ from 10° to 90°), in order of rising 2θ:
2θ/deg, I (rel.), hkl
31.2, 27.5, 3 1 0
32.5, 13.0, 0 2 1
35.0, 100.0, 2 2 -1
37.4, 30.0, 4 0 -2
37.9, 35.9, 3 1 1
40.3, 12.8, 2 2 -2
41.7, 28.1, 1 1 -3
49.0, 23.6, 1 3 1

# TbZr3Rh4
Calculated PXRD pattern, Cu Kα X-rays. Input: a crystal structure in Alexandria, relaxed with GGA-PBE.
No peak broadening, texture or thermal motion is included.

Structural model:
abc: 4.6039 4.6039 24.9753
angles: 90.00 90.00 120.00
Space group R-3m (No. 166, hexagonal axes)
Symmetry-distinct sites (fractional):
Tb (0.0000, 0.0000, 0.0000)
Zr (0.0000, 0.0000, 0.2484)
Zr (0.0000, 0.0000, 0.5000)
Rh (0.0000, 0.0000, 0.1319)
Rh (0.0000, 0.0000, 0.3937)

The 8 most intense peaks (2θ from 10° to 90°), in order of rising 2θ:
2θ/deg, I (rel.), hkl
33.7, 12.4, 1 0 7
36.6, 94.6, 0 1 8
39.1, 100.0, 1 1 0
54.6, 29.1, 2 0 8
64.1, 8.8, 1 0 16
69.2, 28.1, 1 2 8
70.9, 16.8, 3 0 0
84.1, 10.6, 2 2 0

# Tc5Rh4
Calculated PXRD pattern, Cu Kα X-rays. Input: a crystal structure in Alexandria, relaxed with GGA-PBE.
No peak broadening, texture or thermal motion is included.

Structural model:
abc: 8.165 8.165 3.875
angles: 90.00 90.00 90.00
Space group I4/mmm (No. 139)
Symmetry-distinct sites (fractional):
Tc (0.000, 0.000, 0.000)
Tc (0.166, 0.166, 0.500)
Rh (0.000, 0.329, 0.000)

The 8 most intense peaks (2θ from 10° to 90°), in order of rising 2θ:
2θ/deg, I (rel.), hkl
40.5, 100.0, 3 0 1
46.9, 16.3, 0 0 2
47.2, 31.8, 3 3 0
68.7, 20.1, 3 3 2
69.0, 9.9, 6 0 0
82.7, 12.0, 3 0 3
83.2, 23.6, 6 3 1
87.6, 10.5, 6 0 2